[1]
Computed powder diffractogram of SiH2O for Cu Ka, from a GGA-PBE-relaxed structure.

```
data_SiH2O
_cell_length_a 2.955
_cell_length_b 3.135
_cell_length_c 5.218
_cell_angle_alpha 81.43
_cell_angle_beta 80.97
_cell_angle_gamma 68.25
_symmetry_space_group_name_H-M 'P 1'
_symmetry_Int_Tables_number 1
_symmetry_space_group_name_Hall 'P 1'
loop_
_atom_site_label
_atom_site_type_symbol
_atom_site_fract_x
_atom_site_fract_y
_atom_site_fract_z
Si1 Si 0.000 0.000 0.000
H1 H 0.096 0.074 0.415
H2 H 0.546 0.538 0.931
O1 O 0.920 0.936 0.329
```

Largest 12 diffraction maxima, sorted by position, 2θ from 10° to 90°:
2θ 17.29, I 100
2θ 30.86, I 64
2θ 32.83, I 52
2θ 34.00, I 21
2θ 35.00, I 16
2θ 35.52, I 20
2θ 36.33, I 35
2θ 37.34, I 27
2θ 53.67, I 24
2θ 60.06, I 7
2θ 64.31, I 9
2θ 66.15, I 8

***

[2]
Computed powder diffractogram of Si4H2O9 for Cu Ka, from a GGA-PBE-relaxed structure.

```
data_Si4H2O9
_cell_length_a 7.619
_cell_length_b 7.619
_cell_length_c 15.732
_cell_angle_alpha 103.97
_cell_angle_beta 103.97
_cell_angle_gamma 90.00
_symmetry_space_group_name_H-M 'P 1'
_symmetry_Int_Tables_number 1
_symmetry_space_group_name_Hall 'P 1'
loop_
_atom_site_label
_atom_site_type_symbol
_atom_site_fract_x
_atom_site_fract_y
_atom_site_fract_z
Si1 Si 0.081 0.919 0.750
Si2 Si 0.082 0.331 0.751
Si3 Si 0.249 0.698 0.896
Si4 Si 0.301 0.346 0.603
Si5 Si 0.302 0.751 0.604
Si6 Si 0.331 0.082 0.251
Si7 Si 0.331 0.669 0.250
Si8 Si 0.346 0.301 0.103
Si9 Si 0.654 0.699 0.897
Si10 Si 0.669 0.331 0.750
Si11 Si 0.669 0.918 0.749
Si12 Si 0.698 0.249 0.396
Si13 Si 0.699 0.654 0.397
Si14 Si 0.751 0.302 0.104
Si15 Si 0.918 0.669 0.249
Si16 Si 0.919 0.081 0.250
H1 H 0.056 0.259 0.019
H2 H 0.227 0.762 0.455
H3 H 0.238 0.773 0.045
H4 H 0.259 0.056 0.519
H5 H 0.741 0.944 0.481
H6 H 0.762 0.227 0.955
H7 H 0.773 0.238 0.545
H8 H 0.944 0.741 0.981
O1 O 0.126 0.137 0.776
O2 O 0.137 0.126 0.276
O3 O 0.138 0.653 0.278
O4 O 0.157 0.346 0.665
O5 O 0.158 0.822 0.664
O6 O 0.161 0.742 0.984
O7 O 0.176 0.493 0.838
O8 O 0.178 0.842 0.836
O9 O 0.182 0.256 0.013
O10 O 0.256 0.182 0.513
O11 O 0.258 0.839 0.516
O12 O 0.286 0.533 0.569
O13 O 0.341 0.509 0.163
O14 O 0.346 0.157 0.165
O15 O 0.347 0.862 0.222
O16 O 0.467 0.714 0.931
O17 O 0.491 0.659 0.337
O18 O 0.493 0.176 0.338
O19 O 0.507 0.824 0.662
O20 O 0.509 0.341 0.663
O21 O 0.533 0.286 0.069
O22 O 0.653 0.138 0.778
O23 O 0.654 0.843 0.835
O24 O 0.659 0.491 0.837
O25 O 0.714 0.467 0.431
O26 O 0.742 0.161 0.484
O27 O 0.744 0.818 0.487
O28 O 0.818 0.744 0.987
O29 O 0.822 0.158 0.164
O30 O 0.824 0.507 0.162
O31 O 0.839 0.258 0.016
O32 O 0.842 0.178 0.336
O33 O 0.843 0.654 0.335
O34 O 0.862 0.347 0.722
O35 O 0.863 0.874 0.724
O36 O 0.874 0.863 0.224
```

Largest 12 diffraction maxima, sorted by position, 2θ from 10° to 90°:
2θ 11.97, I 40
2θ 14.69, I 9
2θ 17.52, I 11
2θ 19.00, I 54
2θ 23.35, I 23
2θ 24.11, I 100
2θ 26.32, I 60
2θ 30.27, I 17
2θ 35.46, I 8
2θ 42.85, I 14
2θ 45.12, I 18
2θ 47.75, I 11

***

[3]
Computed powder diffractogram of Si4H2O9 for Cu Ka, from a GGA-PBE-relaxed structure.

```
data_Si4H2O9
_cell_length_a 15.901
_cell_length_b 7.513
_cell_length_c 15.890
_cell_angle_alpha 76.41
_cell_angle_beta 27.34
_cell_angle_gamma 76.25
_symmetry_space_group_name_H-M 'P 1'
_symmetry_Int_Tables_number 1
_symmetry_space_group_name_Hall 'P 1'
loop_
_atom_site_label
_atom_site_type_symbol
_atom_site_fract_x
_atom_site_fract_y
_atom_site_fract_z
Si1 Si 0.000 0.000 0.000
Si2 Si 0.012 0.421 0.992
Si3 Si 0.027 0.678 0.631
Si4 Si 0.042 0.093 0.612
Si5 Si 0.093 0.042 0.253
Si6 Si 0.250 0.250 0.250
Si7 Si 0.258 0.675 0.238
Si8 Si 0.421 0.012 0.575
Si9 Si 0.424 0.424 0.576
Si10 Si 0.586 0.619 0.572
Si11 Si 0.619 0.586 0.223
Si12 Si 0.638 0.997 0.208
Si13 Si 0.674 0.674 0.826
Si14 Si 0.675 0.258 0.829
Si15 Si 0.678 0.027 0.664
Si16 Si 0.997 0.638 0.157
H1 H 0.086 0.318 0.649
H2 H 0.235 0.849 0.356
H3 H 0.303 0.601 0.932
H4 H 0.318 0.086 0.947
H5 H 0.601 0.303 0.164
H6 H 0.690 0.894 0.401
H7 H 0.849 0.235 0.560
H8 H 0.894 0.690 0.015
O1 O 0.000 0.493 0.090
O2 O 0.050 0.870 0.637
O3 O 0.092 0.174 0.646
O4 O 0.092 0.501 0.641
O5 O 0.129 0.189 0.284
O6 O 0.160 0.833 0.250
O7 O 0.162 0.604 0.076
O8 O 0.174 0.092 0.088
O9 O 0.188 0.729 0.396
O10 O 0.189 0.129 0.398
O11 O 0.203 0.466 0.774
O12 O 0.205 0.469 0.287
O13 O 0.210 0.963 0.781
O14 O 0.466 0.203 0.557
O15 O 0.469 0.205 0.040
O16 O 0.476 0.693 0.047
O17 O 0.483 0.609 0.749
O18 O 0.493 0.000 0.417
O19 O 0.498 0.524 0.417
O20 O 0.501 0.092 0.767
O21 O 0.524 0.498 0.560
O22 O 0.562 0.854 0.521
O23 O 0.604 0.162 0.158
O24 O 0.609 0.483 0.158
O25 O 0.613 0.807 0.200
O26 O 0.690 0.833 0.726
O27 O 0.693 0.476 0.784
O28 O 0.729 0.188 0.688
O29 O 0.807 0.613 0.380
O30 O 0.833 0.160 0.757
O31 O 0.833 0.690 0.752
O32 O 0.852 0.966 0.061
O33 O 0.854 0.562 0.062
O34 O 0.870 0.050 0.443
O35 O 0.963 0.210 0.045
O36 O 0.966 0.852 0.121
```

Largest 12 diffraction maxima, sorted by position, 2θ from 10° to 90°:
2θ 11.81, I 57
2θ 14.75, I 15
2θ 17.72, I 16
2θ 18.94, I 81
2θ 23.70, I 41
2θ 23.93, I 79
2θ 24.43, I 81
2θ 26.55, I 100
2θ 30.56, I 13
2θ 42.74, I 19
2θ 45.31, I 27
2θ 48.47, I 18

***

[4]
Computed powder diffractogram of Si2H2O5 for Cu Ka, from a GGA-PBE-relaxed structure.

```
data_Si2H2O5
_cell_length_a 5.095
_cell_length_b 6.118
_cell_length_c 8.485
_cell_angle_alpha 109.35
_cell_angle_beta 106.31
_cell_angle_gamma 93.54
_symmetry_space_group_name_H-M 'P 1'
_symmetry_Int_Tables_number 1
_symmetry_space_group_name_Hall 'P 1'
loop_
_atom_site_label
_atom_site_type_symbol
_atom_site_fract_x
_atom_site_fract_y
_atom_site_fract_z
Si1 Si 0.000 0.000 0.000
Si2 Si 0.176 0.371 0.386
Si3 Si 0.475 0.690 0.978
Si4 Si 0.712 0.683 0.396
H1 H 0.140 0.254 0.867
H2 H 0.284 0.320 0.655
H3 H 0.810 0.020 0.639
H4 H 0.866 0.641 0.163
O1 O 0.249 0.241 0.523
O2 O 0.277 0.876 0.042
O3 O 0.331 0.431 0.858
O4 O 0.445 0.498 0.358
O5 O 0.694 0.684 0.184
O6 O 0.715 0.949 0.509
O7 O 0.719 0.799 0.922
O8 O 0.989 0.118 0.854
O9 O 0.997 0.185 0.189
O10 O 0.997 0.582 0.442
```

Largest 12 diffraction maxima, sorted by position, 2θ from 10° to 90°:
2θ 11.67, I 29
2θ 15.58, I 9
2θ 15.71, I 12
2θ 22.05, I 78
2θ 22.70, I 28
2θ 22.97, I 35
2θ 23.45, I 100
2θ 35.30, I 8
2θ 37.67, I 8
2θ 38.05, I 8
2θ 39.72, I 9
2θ 44.53, I 7